Record 1
Er4Te3Pt: theoretical powder diffractogram (Cu Kα X-rays), based on a cell relaxed with GGA-PBE.
Intensities are scaled so that the largest is 100.

Top 8 peaks for 5° ≤ 2θ ≤ 70°, in order of rising 2θ:
| 2theta | d [Å] | I (rel.) |
| --- | --- | --- |
| 12.3 | 7.172 | 18 |
| 29.2 | 3.062 | 52 |
| 29.5 | 3.033 | 100 |
| 40.8 | 2.212 | 17 |
| 41.9 | 2.155 | 73 |
| 43.4 | 2.083 | 19 |
| 50.9 | 1.793 | 17 |
| 53.2 | 1.722 | 19 |

Structure:
abc: 8.846 12.249 4.166
angles: 90.00 90.00 90.00
Fractional coordinates of all 16 atoms:
Er  0.000  0.232  0.000
Er  0.000  0.768  0.000
Er  0.211  0.000  0.500
Er  0.289  0.500  0.500
Er  0.500  0.268  0.000
Er  0.500  0.732  0.000
Er  0.711  0.500  0.500
Er  0.789  0.000  0.500
Te  0.000  0.500  0.000
Te  0.250  0.250  0.500
Te  0.250  0.750  0.500
Te  0.500  0.000  0.000
Te  0.750  0.250  0.500
Te  0.750  0.750  0.500
Pt  0.000  0.000  0.000
Pt  0.500  0.500  0.000

---

Record 2
VI3Br: theoretical powder diffractogram (Cu Kα X-rays), based on a cell relaxed with GGA-PBE.
Intensities are scaled so that the largest is 100.

Top 8 peaks for 5° ≤ 2θ ≤ 70°, in order of rising 2θ:
| 2theta | d [Å] | I (rel.) |
| --- | --- | --- |
| 15.3 | 5.794 | 28 |
| 23.2 | 3.841 | 36 |
| 23.6 | 3.764 | 51 |
| 26.0 | 3.421 | 100 |
| 26.2 | 3.408 | 51 |
| 33.3 | 2.688 | 26 |
| 40.8 | 2.210 | 25 |
| 43.1 | 2.100 | 36 |

Structure:
abc: 7.529 7.643 8.886
angles: 89.97 89.99 89.95
Fractional coordinates of all 10 atoms:
V  0.000  0.000  0.000
V  0.500  0.352  0.501
I  0.333  0.989  0.001
I  0.386  0.507  0.271
I  0.388  0.507  0.732
I  0.833  0.362  0.499
I  0.886  0.846  0.230
I  0.889  0.845  0.770
Br  0.405  0.066  0.501
Br  0.905  0.286  0.999

---

Record 3
CaScF6: theoretical powder diffractogram (Cu Kα X-rays), based on a cell relaxed with GGA-PBE.
Intensities are scaled so that the largest is 100.

Top 8 peaks for 5° ≤ 2θ ≤ 70°, in order of rising 2θ:
| 2theta | d [Å] | I (rel.) |
| --- | --- | --- |
| 20.7 | 4.299 | 100 |
| 29.4 | 3.040 | 11 |
| 42.0 | 2.149 | 34 |
| 47.2 | 1.924 | 18 |
| 47.3 | 1.921 | 17 |
| 60.9 | 1.522 | 9 |
| 61.0 | 1.518 | 9 |
| 65.1 | 1.432 | 12 |

Structure:
abc: 6.087 6.087 6.087
angles: 59.83 59.83 59.83
Fractional coordinates of all 8 atoms:
Ca  0.000  0.000  0.000
Sc  0.500  0.500  0.500
F  0.264  0.264  0.736
F  0.264  0.736  0.264
F  0.264  0.736  0.736
F  0.736  0.264  0.264
F  0.736  0.264  0.736
F  0.736  0.736  0.264

---

Record 4
Rb11HgAu2: theoretical powder diffractogram (Cu Kα X-rays), based on a cell relaxed with GGA-PBE.
Intensities are scaled so that the largest is 100.

Top 8 peaks for 5° ≤ 2θ ≤ 70°, in order of rising 2θ:
| 2theta | d [Å] | I (rel.) |
| --- | --- | --- |
| 12.9 | 6.843 | 100 |
| 13.3 | 6.658 | 39 |
| 15.1 | 5.882 | 34 |
| 26.1 | 3.416 | 66 |
| 26.6 | 3.354 | 44 |
| 27.3 | 3.264 | 51 |
| 28.7 | 3.114 | 75 |
| 28.9 | 3.090 | 33 |

Structure:
abc: 14.072 14.072 14.072
angles: 123.24 105.86 100.28
Fractional coordinates of all 28 atoms:
Rb  0.000  0.000  0.000
Rb  0.046  0.455  0.813
Rb  0.072  0.841  0.660
Rb  0.142  0.955  0.409
Rb  0.181  0.412  0.340
Rb  0.221  0.874  0.095
Rb  0.279  0.374  0.653
Rb  0.319  0.659  0.231
Rb  0.358  0.768  0.813
Rb  0.428  0.088  0.769
Rb  0.454  0.268  0.409
Rb  0.500  0.500  0.000
Rb  0.546  0.732  0.591
Rb  0.572  0.912  0.231
Rb  0.642  0.232  0.187
Rb  0.681  0.341  0.769
Rb  0.721  0.626  0.347
Rb  0.779  0.126  0.905
Rb  0.819  0.588  0.660
Rb  0.858  0.045  0.591
Rb  0.928  0.159  0.340
Rb  0.954  0.545  0.187
Hg  0.250  0.750  0.500
Hg  0.750  0.250  0.500
Au  0.174  0.145  0.319
Au  0.326  0.645  0.970
Au  0.674  0.355  0.030
Au  0.826  0.855  0.681